# 1
This entry pairs a crystal structure of K3InPb with its calculated X-ray powder pattern. Radiation: CuKα. Structure: a DFT-relaxed cell (GGA-PBE, Alexandria).

Top 12 peaks for 2θ = 10–90°, by intensity:
| Position (°2θ) | d/Å | I/Imax | hkl |
| --- | --- | --- | --- |
| 13.1 | 6.774 | 100 | 2 0 0 |
| 30.2 | 2.956 | 67 | 0 2 2 |
| 40.5 | 2.227 | 59 | 4 2 2 |
| 19.9 | 4.454 | 55 | 2 1 1 |
| 26.3 | 3.387 | 52 | 4 0 0 |
| 15.0 | 5.912 | 51 | 0 1 1 |
| 33.1 | 2.709 | 40 | 2 2 2 |
| 25.9 | 3.435 | 24 | 2 0 2 |
| 24.1 | 3.694 | 24 | 2 2 0 |
| 12.0 | 7.388 | 23 | 1 1 0 |
| 25.4 | 3.508 | 23 | 1 1 2 |
| 30.4 | 2.939 | 21 | 4 1 1 |

Structure:
```
data_K3InPb
_symmetry_space_group_name_H-M 'I m a 2'
_symmetry_Int_Tables_number 46
_cell_length_a 13.549
_cell_length_b 8.813
_cell_length_c 7.971
_cell_angle_alpha 90.00
_cell_angle_beta 90.00
_cell_angle_gamma 90.00
loop_
_symmetry_equiv_pos_as_xyz
'x,y,z'
'-x,-y,z'
'-x+1/2,y,z'
'x+1/2,-y,z'
'x+1/2,y+1/2,z+1/2'
'-x+1/2,-y+1/2,z+1/2'
'-x,y+1/2,z+1/2'
'x,-y+1/2,z+1/2'
loop_
_atom_site_label
_atom_site_type_symbol
_atom_site_fract_x
_atom_site_fract_y
_atom_site_fract_z
K1 K 0.009 0.250 0.000
K2 K 0.250 0.080 0.251
In1 In 0.250 0.749 0.499
Pb1 Pb 0.250 0.006 0.748
```



# 2
This entry pairs a crystal structure of KIn3Pb with its calculated X-ray powder pattern. Radiation: CuKα. Structure: a DFT-relaxed cell (GGA-PBE, Alexandria).

Top 12 peaks for 2θ = 10–90°, by intensity:
| Position (°2θ) | d/Å | I/Imax | hkl |
| --- | --- | --- | --- |
| 28.6 | 3.122 | 100 | 1 1 2 |
| 36.9 | 2.437 | 76 | 1 1 4 |
| 36.1 | 2.490 | 58 | 2 0 0 |
| 13.1 | 6.754 | 48 | 0 0 2 |
| 17.8 | 4.979 | 35 | 1 0 0 |
| 32.0 | 2.795 | 30 | 1 0 4 |
| 65.4 | 1.427 | 28 | 3 1 4 |
| 60.4 | 1.533 | 24 | 3 1 2 |
| 51.9 | 1.760 | 20 | 2 2 0 |
| 49.0 | 1.859 | 17 | 2 1 4 |
| 55.0 | 1.670 | 16 | 2 0 6 |
| 38.5 | 2.336 | 15 | 2 0 2 |

Structure:
```
data_KIn3Pb
_symmetry_space_group_name_H-M 'P 42/m m c'
_symmetry_Int_Tables_number 131
_symmetry_space_group_name_Hall '-P 4c 2'
_cell_length_a 4.979
_cell_length_b 4.979
_cell_length_c 13.508
_cell_angle_alpha 90.00
_cell_angle_beta 90.00
_cell_angle_gamma 90.00
loop_
_atom_site_label
_atom_site_type_symbol
_atom_site_fract_x
_atom_site_fract_y
_atom_site_fract_z
K1 K 0.000 0.000 0.250
In1 In 0.000 0.500 0.000
In2 In 0.500 0.500 0.141
Pb1 Pb 0.000 0.500 0.500
```



# 3
This entry pairs a crystal structure of K3In5Pb2 with its calculated X-ray powder pattern. Radiation: CuKα. Structure: a DFT-relaxed cell (GGA-PBE, Alexandria).

Top 12 peaks for 2θ = 10–90°, by intensity:
| Position (°2θ) | d/Å | I/Imax | hkl |
| --- | --- | --- | --- |
| 18.2 | 4.865 | 100 | 1 2 1 |
| 34.1 | 2.626 | 78 | 0 4 2 |
| 37.0 | 2.429 | 53 | 4 0 2 |
| 36.8 | 2.443 | 51 | 4 4 0 |
| 27.6 | 3.235 | 48 | 2 4 0 |
| 26.8 | 3.329 | 43 | 3 2 1 |
| 27.9 | 3.202 | 40 | 2 0 2 |
| 38.9 | 2.318 | 40 | 5 2 1 |
| 52.8 | 1.733 | 20 | 5 2 3 |
| 63.2 | 1.472 | 17 | 4 4 4 |
| 39.2 | 2.298 | 16 | 1 2 3 |
| 49.4 | 1.843 | 15 | 0 0 4 |

Structure:
```
data_K3In5Pb2
_symmetry_space_group_name_H-M 'I b a m'
_symmetry_Int_Tables_number 72
_symmetry_space_group_name_Hall '-I 2 2c'
_cell_length_a 12.913
_cell_length_b 14.960
_cell_length_c 7.374
_cell_angle_alpha 90.00
_cell_angle_beta 90.00
_cell_angle_gamma 90.00
loop_
_atom_site_label
_atom_site_type_symbol
_atom_site_fract_x
_atom_site_fract_y
_atom_site_fract_z
K1 K 0.000 0.000 0.250
K2 K 0.236 0.377 0.000
In1 In 0.000 0.254 0.250
In2 In 0.000 0.500 0.250
In3 In 0.127 0.373 0.500
Pb1 Pb 0.144 0.146 0.000
```



# 4
This entry pairs a crystal structure of KIn2Pb2 with its calculated X-ray powder pattern. Radiation: CuKα. Structure: a DFT-relaxed cell (GGA-PBE, Alexandria).

Top 12 peaks for 2θ = 10–90°, by intensity:
| Position (°2θ) | d/Å | I/Imax | hkl |
| --- | --- | --- | --- |
| 37.6 | 2.391 | 100 | 1 1 4 |
| 27.8 | 3.208 | 90 | 1 1 2 |
| 33.8 | 2.650 | 86 | 2 0 0 |
| 18.2 | 4.875 | 61 | 1 0 1 |
| 14.3 | 6.208 | 47 | 0 0 2 |
| 63.0 | 1.475 | 45 | 3 1 4 |
| 27.3 | 3.262 | 38 | 1 0 3 |
| 48.6 | 1.874 | 31 | 2 2 0 |
| 56.9 | 1.618 | 24 | 3 1 2 |
| 40.1 | 2.249 | 21 | 1 0 5 |
| 44.0 | 2.057 | 21 | 2 1 3 |
| 70.3 | 1.339 | 20 | 2 0 8 |

Structure:
```
data_KIn2Pb2
_symmetry_space_group_name_H-M 'P 4/n m m'
_symmetry_Int_Tables_number 129
_cell_length_a 5.300
_cell_length_b 5.300
_cell_length_c 12.417
_cell_angle_alpha 90.00
_cell_angle_beta 90.00
_cell_angle_gamma 90.00
loop_
_symmetry_equiv_pos_as_xyz
'x,y,z'
'-x,-y,-z'
'-y+1/2,x,z'
'y+1/2,-x,-z'
'-x+1/2,-y+1/2,z'
'x+1/2,y+1/2,-z'
'y,-x+1/2,z'
'-y,x+1/2,-z'
'x+1/2,-y,-z'
'-x+1/2,y,z'
'-y,-x,-z'
'y,x,z'
'-x,y+1/2,-z'
'x,-y+1/2,z'
'y+1/2,x+1/2,-z'
'-y+1/2,-x+1/2,z'
loop_
_atom_site_label
_atom_site_type_symbol
_atom_site_fract_x
_atom_site_fract_y
_atom_site_fract_z
K1 K 0.250 0.250 0.249
In1 In 0.250 0.250 0.631
In2 In 0.250 0.750 0.000
Pb1 Pb 0.250 0.250 0.870
Pb2 Pb 0.250 0.750 0.500
```



# 5
This entry pairs a crystal structure of KIn4Pb2 with its calculated X-ray powder pattern. Radiation: CuKα. Structure: a DFT-relaxed cell (GGA-PBE, Alexandria).

Top 12 peaks for 2θ = 10–90°, by intensity:
| Position (°2θ) | d/Å | I/Imax | hkl |
| --- | --- | --- | --- |
| 31.1 | 2.872 | 100 | 1 1 2 |
| 32.7 | 2.741 | 98 | 0 1 7 |
| 32.2 | 2.783 | 58 | 1 0 5 |
| 33.2 | 2.696 | 51 | 0 2 0 |
| 46.9 | 1.937 | 41 | 1 2 5 |
| 62.1 | 1.494 | 30 | 2 1 7 |
| 38.8 | 2.321 | 25 | 1 1 6 |
| 51.3 | 1.782 | 24 | 2 0 0 |
| 58.0 | 1.589 | 24 | 0 0 14 |
| 30.1 | 2.973 | 21 | 1 1 0 |
| 58.6 | 1.575 | 18 | 1 1 12 |
| 59.0 | 1.565 | 18 | 0 3 7 |

Structure:
```
data_KIn4Pb2
_symmetry_space_group_name_H-M 'I m m m'
_symmetry_Int_Tables_number 71
_symmetry_space_group_name_Hall '-I 2 2'
_cell_length_a 3.563
_cell_length_b 5.393
_cell_length_c 22.274
_cell_angle_alpha 90.00
_cell_angle_beta 90.00
_cell_angle_gamma 90.00
loop_
_atom_site_label
_atom_site_type_symbol
_atom_site_fract_x
_atom_site_fract_y
_atom_site_fract_z
K1 K 0.000 0.000 0.000
In1 In 0.000 0.000 0.422
In2 In 0.000 0.500 0.352
Pb1 Pb 0.000 0.500 0.207
```



# 6
This entry pairs a crystal structure of KIn3Pb with its calculated X-ray powder pattern. Radiation: CuKα. Structure: a DFT-relaxed cell (GGA-PBE, Alexandria).

Top 12 peaks for 2θ = 10–90°, by intensity:
| Position (°2θ) | d/Å | I/Imax | hkl |
| --- | --- | --- | --- |
| 32.1 | 2.786 | 100 | 2 1 1 |
| 22.4 | 3.963 | 76 | 1 1 1 |
| 41.4 | 2.183 | 67 | 0 3 1 |
| 18.3 | 4.840 | 59 | 1 0 1 |
| 28.9 | 3.089 | 58 | 0 2 1 |
| 39.5 | 2.284 | 47 | 2 2 1 |
| 37.2 | 2.420 | 41 | 2 0 2 |
| 39.2 | 2.298 | 33 | 1 2 2 |
| 63.4 | 1.468 | 29 | 2 3 3 |
| 60.1 | 1.539 | 22 | 2 0 4 |
| 36.8 | 2.442 | 22 | 0 2 2 |
| 41.4 | 2.179 | 20 | 1 3 0 |

Structure:
```
data_KIn3Pb
_symmetry_space_group_name_H-M 'P m n 21'
_symmetry_Int_Tables_number 31
_cell_length_a 6.784
_cell_length_b 6.903
_cell_length_c 6.910
_cell_angle_alpha 90.00
_cell_angle_beta 90.00
_cell_angle_gamma 90.00
loop_
_symmetry_equiv_pos_as_xyz
'x,y,z'
'-x+1/2,-y,z+1/2'
'-x,y,z'
'x+1/2,-y,z+1/2'
loop_
_atom_site_label
_atom_site_type_symbol
_atom_site_fract_x
_atom_site_fract_y
_atom_site_fract_z
K1 K 0.000 0.243 0.000
In1 In 0.000 0.601 0.660
In2 In 0.249 0.262 0.505
Pb1 Pb 0.000 0.902 0.357
```



# 7
This entry pairs a crystal structure of K6InPb2 with its calculated X-ray powder pattern. Radiation: CuKα. Structure: a DFT-relaxed cell (GGA-PBE, Alexandria).

Top 12 peaks for 2θ = 10–90°, by intensity:
| Position (°2θ) | d/Å | I/Imax | hkl |
| --- | --- | --- | --- |
| 27.9 | 3.195 | 100 | 1 1 0 |
| 16.2 | 5.465 | 93 | 1 0 1 |
| 30.5 | 2.929 | 32 | 1 0 10 |
| 32.8 | 2.731 | 31 | 0 1 11 |
| 16.8 | 5.270 | 30 | 0 1 2 |
| 42.3 | 2.138 | 30 | 1 1 12 |
| 49.4 | 1.845 | 20 | 3 0 0 |
| 32.0 | 2.794 | 20 | 1 1 6 |
| 55.9 | 1.644 | 19 | 1 1 18 |
| 32.5 | 2.758 | 18 | 0 2 1 |
| 15.4 | 5.754 | 18 | 0 0 6 |
| 57.7 | 1.597 | 18 | 2 2 0 |

Structure:
```
data_K6InPb2
_symmetry_space_group_name_H-M 'R -3 m'
_symmetry_Int_Tables_number 166
_symmetry_space_group_name_Hall '-R 3 2"'
_cell_length_a 6.3909
_cell_length_b 6.3909
_cell_length_c 34.5265
_cell_angle_alpha 90.00
_cell_angle_beta 90.00
_cell_angle_gamma 120.00
loop_
_atom_site_label
_atom_site_type_symbol
_atom_site_fract_x
_atom_site_fract_y
_atom_site_fract_z
K1 K 0.0000 0.0000 0.0765
K2 K 0.0000 0.0000 0.1987
K3 K 0.0000 0.0000 0.3100
In1 In 0.0000 0.0000 0.5000
Pb1 Pb 0.0000 0.0000 0.4161
```



# 8
This entry pairs a crystal structure of KIn4Pb6 with its calculated X-ray powder pattern. Radiation: CuKα. Structure: a DFT-relaxed cell (GGA-PBE, Alexandria).

Top 12 peaks for 2θ = 10–90°, by intensity:
| Position (°2θ) | d/Å | I/Imax | hkl |
| --- | --- | --- | --- |
| 28.8 | 3.100 | 100 | 2 0 1 |
| 34.9 | 2.574 | 86 | 2 1 1 |
| 11.1 | 7.999 | 44 | 1 0 0 |
| 36.6 | 2.452 | 29 | 0 0 2 |
| 60.9 | 1.521 | 27 | 5 0 1 |
| 29.5 | 3.024 | 26 | 2 1 0 |
| 39.0 | 2.309 | 25 | 2 2 0 |
| 33.6 | 2.666 | 23 | 3 0 0 |
| 54.6 | 1.681 | 19 | 2 2 2 |
| 50.6 | 1.805 | 15 | 3 0 2 |
| 64.8 | 1.438 | 15 | 2 1 3 |
| 47.8 | 1.905 | 14 | 2 1 2 |

Structure:
```
data_KIn4Pb6
_symmetry_space_group_name_H-M 'P -6 m 2'
_symmetry_Int_Tables_number 187
_symmetry_space_group_name_Hall 'P -6 2'
_cell_length_a 9.2370
_cell_length_b 9.2370
_cell_length_c 4.9047
_cell_angle_alpha 90.00
_cell_angle_beta 90.00
_cell_angle_gamma 120.00
loop_
_atom_site_label
_atom_site_type_symbol
_atom_site_fract_x
_atom_site_fract_y
_atom_site_fract_z
K1 K 0.0000 0.0000 0.0000
In1 In 0.3333 0.6667 0.0000
In2 In 0.4032 0.2016 0.5000
Pb1 Pb 0.2014 0.4029 0.5000
Pb2 Pb 0.5309 0.0617 0.0000
```



# 9
This entry pairs a crystal structure of K3In6Pb5 with its calculated X-ray powder pattern. Radiation: CuKα. Structure: a DFT-relaxed cell (GGA-PBE, Alexandria).

Top 12 peaks for 2θ = 10–90°, by intensity:
| Position (°2θ) | d/Å | I/Imax | hkl |
| --- | --- | --- | --- |
| 29.1 | 3.067 | 100 | 1 3 2 |
| 35.0 | 2.563 | 54 | 2 0 0 |
| 37.4 | 2.407 | 51 | 1 4 3 |
| 30.8 | 2.903 | 49 | 1 2 3 |
| 35.2 | 2.549 | 43 | 1 1 4 |
| 18.8 | 4.713 | 42 | 1 0 1 |
| 36.1 | 2.486 | 35 | 0 6 0 |
| 19.3 | 4.593 | 32 | 0 3 1 |
| 39.3 | 2.295 | 30 | 1 3 4 |
| 14.8 | 5.994 | 28 | 0 0 2 |
| 38.0 | 2.367 | 28 | 0 1 5 |
| 51.2 | 1.785 | 26 | 2 6 0 |

Structure:
```
data_K3In6Pb5
_symmetry_space_group_name_H-M 'P m m n'
_symmetry_Int_Tables_number 59
_cell_length_a 5.126
_cell_length_b 14.917
_cell_length_c 11.987
_cell_angle_alpha 90.00
_cell_angle_beta 90.00
_cell_angle_gamma 90.00
loop_
_symmetry_equiv_pos_as_xyz
'x,y,z'
'-x,-y,-z'
'-x+1/2,-y+1/2,z'
'x+1/2,y+1/2,-z'
'x+1/2,-y,-z'
'-x+1/2,y,z'
'-x,y+1/2,-z'
'x,-y+1/2,z'
loop_
_atom_site_label
_atom_site_type_symbol
_atom_site_fract_x
_atom_site_fract_y
_atom_site_fract_z
K1 K 0.250 0.052 0.249
K2 K 0.250 0.750 0.248
In1 In 0.250 0.100 0.623
In2 In 0.250 0.250 0.064
In3 In 0.250 0.250 0.442
In4 In 0.250 0.610 0.966
Pb1 Pb 0.250 0.091 0.883
Pb2 Pb 0.250 0.596 0.528
Pb3 Pb 0.250 0.750 0.744
```



# 10
This entry pairs a crystal structure of K2InPbSe4 with its calculated X-ray powder pattern. Radiation: CuKα. Structure: a DFT-relaxed cell (GGA-PBE, Alexandria).

Top 12 peaks for 2θ = 10–90°, by intensity:
| Position (°2θ) | d/Å | I/Imax | hkl |
| --- | --- | --- | --- |
| 33.0 | 2.714 | 100 | 2 0 2 |
| 15.2 | 5.817 | 77 | 1 1 0 |
| 27.2 | 3.278 | 55 | 2 1 1 |
| 30.7 | 2.908 | 48 | 2 2 0 |
| 42.8 | 2.111 | 38 | 3 1 2 |
| 60.3 | 1.535 | 20 | 2 2 4 |
| 47.3 | 1.923 | 18 | 4 1 1 |
| 51.1 | 1.787 | 17 | 4 0 2 |
| 49.6 | 1.839 | 17 | 4 2 0 |
| 21.6 | 4.113 | 17 | 2 0 0 |
| 56.1 | 1.639 | 16 | 4 2 2 |
| 46.9 | 1.939 | 16 | 3 3 0 |

Structure:
```
data_K2InPbSe4
_symmetry_space_group_name_H-M 'I -4 2 m'
_symmetry_Int_Tables_number 121
_symmetry_space_group_name_Hall 'I -4 2'
_cell_length_a 8.226
_cell_length_b 8.226
_cell_length_c 7.223
_cell_angle_alpha 90.00
_cell_angle_beta 90.00
_cell_angle_gamma 90.00
loop_
_atom_site_label
_atom_site_type_symbol
_atom_site_fract_x
_atom_site_fract_y
_atom_site_fract_z
K1 K 0.000 0.500 0.000
In1 In 0.000 0.000 0.000
Pb1 Pb 0.000 0.000 0.500
Se1 Se 0.179 0.179 0.772
```



# 11
This entry pairs a crystal structure of KInTe4Pb2 with its calculated X-ray powder pattern. Radiation: CuKα. Structure: a DFT-relaxed cell (GGA-PBE, Alexandria).

Top 12 peaks for 2θ = 10–90°, by intensity:
| Position (°2θ) | d/Å | I/Imax | hkl |
| --- | --- | --- | --- |
| 27.2 | 3.277 | 100 | 2 2 0 |
| 39.1 | 2.303 | 74 | 2 2 4 |
| 27.5 | 3.238 | 48 | 0 0 4 |
| 64.1 | 1.452 | 25 | 6 2 0 |
| 11.7 | 7.595 | 21 | 0 1 1 |
| 47.9 | 1.899 | 21 | 0 4 4 |
| 38.4 | 2.344 | 20 | 0 4 0 |
| 48.7 | 1.870 | 20 | 4 0 4 |
| 39.3 | 2.291 | 19 | 4 0 0 |
| 63.6 | 1.462 | 17 | 4 4 4 |
| 56.1 | 1.639 | 13 | 4 4 0 |
| 69.9 | 1.345 | 13 | 2 6 4 |

Structure:
```
data_KInTe4Pb2
_symmetry_space_group_name_H-M 'I m m a'
_symmetry_Int_Tables_number 74
_symmetry_space_group_name_Hall '-I 2b 2'
_cell_length_a 9.166
_cell_length_b 9.377
_cell_length_c 12.951
_cell_angle_alpha 90.00
_cell_angle_beta 90.00
_cell_angle_gamma 90.00
loop_
_atom_site_label
_atom_site_type_symbol
_atom_site_fract_x
_atom_site_fract_y
_atom_site_fract_z
K1 K 0.250 0.250 0.250
In1 In 0.000 0.000 0.000
Te1 Te 0.000 0.011 0.762
Te2 Te 0.240 0.250 0.995
Pb1 Pb 0.000 0.000 0.500
Pb2 Pb 0.250 0.250 0.750
```



# 12
This entry pairs a crystal structure of KTlIn2Pb with its calculated X-ray powder pattern. Radiation: CuKα. Structure: a DFT-relaxed cell (GGA-PBE, Alexandria).

Top 12 peaks for 2θ = 10–90°, by intensity:
| Position (°2θ) | d/Å | I/Imax | hkl |
| --- | --- | --- | --- |
| 32.9 | 2.723 | 100 | 0 2 0 |
| 32.6 | 2.749 | 57 | 1 1 -3 |
| 31.5 | 2.844 | 46 | 1 1 2 |
| 33.9 | 2.647 | 20 | 2 1 0 |
| 40.4 | 2.235 | 15 | 1 1 -4 |
| 39.1 | 2.305 | 15 | 1 1 3 |
| 58.5 | 1.578 | 14 | 1 3 -3 |
| 61.9 | 1.500 | 14 | 3 2 -4 |
| 15.1 | 5.873 | 14 | 1 0 -1 |
| 28.0 | 3.183 | 14 | 1 0 -3 |
| 28.4 | 3.139 | 13 | 2 0 -1 |
| 26.7 | 3.333 | 12 | 1 0 2 |

Structure:
```
data_KTlIn2Pb
_symmetry_space_group_name_H-M 'P 1 21/m 1'
_symmetry_Int_Tables_number 11
_cell_length_a 6.287
_cell_length_b 5.452
_cell_length_c 9.881
_cell_angle_alpha 90.00
_cell_angle_beta 105.57
_cell_angle_gamma 90.00
loop_
_symmetry_equiv_pos_as_xyz
'x,y,z'
'-x,-y,-z'
'-x,y+1/2,-z'
'x,-y+1/2,z'
loop_
_atom_site_label
_atom_site_type_symbol
_atom_site_fract_x
_atom_site_fract_y
_atom_site_fract_z
K1 K 0.227 0.250 0.015
Tl1 Tl 0.201 0.750 0.763
In1 In 0.383 0.250 0.406
In2 In 0.490 0.750 0.263
Pb1 Pb 0.061 0.750 0.410
```